SrSnTeSe: calculated XRD peak list (Cu Kα X-rays), based on a structure optimized by DFT (GGA-PBE).

Atomic structure:
```
SrSnTeSe
1.0
4.7535 0.0000 0.0000
0.0000 4.5041 0.0000
-0.0068 0.0000 6.3476
Sr Sn Te Se
1 1 1 1
Direct
0.0000 0.0000 0.0000
0.4283 0.5000 0.5005
0.4960 0.5000 0.0008
0.0486 0.0000 0.5002
```

Main lines, sorted by position (10 to 90 degrees two-theta):
- 2θ 27.3, d 3.269, I = 100, hkl 1 1 0
- 2θ 28.1, d 3.174, I = 50, hkl 0 0 2
- 2θ 37.9, d 2.377, I = 17, hkl 2 0 0
- 2θ 39.6, d 2.277, I = 74, hkl 1 1 2
- 2θ 40.0, d 2.252, I = 19, hkl 0 2 0
- 2θ 47.8, d 1.902, I = 17, hkl 2 0 2
- 2θ 49.6, d 1.837, I = 21, hkl 0 2 2
- 2θ 56.3, d 1.635, I = 11, hkl 2 2 0
- 2θ 65.4, d 1.428, I = 17, hkl 1 1 4
- 2θ 72.4, d 1.305, I = 13, hkl 1 3 2